This entry pairs a crystal structure of Tb3Y2Ir2 with its calculated PXRD pattern. Radiation: Cu Kα (weighted mean of Kα1 and Kα2). Structure: a DFT-relaxed cell (GGA-PBE, Alexandria).
Neutral-atom scattering factors, no anomalous dispersion.

Atomic structure:
```
14
Lattice="12.053 0.000 0.000 0.000 3.873 0.000 -3.893 0.000 7.954" Properties=species:S:1:pos:R:3 pbc="T T T"
Tb 0.000 0.000 0.000
Tb -0.248 0.000 3.428
Tb 2.382 1.937 4.526
Tb 6.027 1.937 0.000
Tb 5.779 1.937 3.428
Tb 8.408 0.000 4.526
Y -1.132 1.937 6.424
Y 3.265 0.000 1.530
Y 4.895 0.000 6.424
Y 9.292 1.937 1.530
Ir 1.215 1.937 1.882
Ir 0.918 0.000 6.072
Ir 7.242 0.000 1.882
Ir 6.945 1.937 6.072
```

Main lines, sorted by position (10° ≤ 2θ ≤ 80°):
| 2θ (°) | I (rel.) |
| --- | --- |
| 15.22 | 100 |
| 32.10 | 95 |
| 33.31 | 68 |
| 34.19 | 91 |
| 35.79 | 83 |
| 38.93 | 71 |

This entry pairs a crystal structure of TbY2Ir3 with its calculated PXRD pattern. Radiation: Cu Kα (weighted mean of Kα1 and Kα2). Structure: a DFT-relaxed cell (GGA-PBE, Alexandria).
Neutral-atom scattering factors, no anomalous dispersion.

Atomic structure:
```
6
Lattice="4.864 0.000 0.000 -2.432 4.212 0.000 0.000 0.000 5.955" Properties=species:S:1:pos:R:3 pbc="T T T"
Tb 0.000 0.000 0.000
Y 0.000 2.808 3.967
Y 2.432 1.404 1.987
Ir 0.000 0.000 2.977
Ir 0.000 2.808 0.990
Ir 2.432 1.404 4.964
```

Main lines, sorted by position (10° ≤ 2θ ≤ 80°):
| 2θ (°) | I (rel.) |
| --- | --- |
| 25.91 | 8 |
| 36.97 | 100 |
| 53.28 | 18 |
| 60.17 | 3 |
| 66.61 | 36 |
| 78.70 | 11 |

This entry pairs a crystal structure of TbYIr with its calculated PXRD pattern. Radiation: Cu Kα (weighted mean of Kα1 and Kα2). Structure: a DFT-relaxed cell (GGA-PBE, Alexandria).
Neutral-atom scattering factors, no anomalous dispersion.

Atomic structure:
```
12
Lattice="6.818 0.000 0.000 0.000 6.818 0.000 -0.024 0.000 6.813" Properties=species:S:1:pos:R:3 pbc="T T T"
Tb -0.006 0.006 1.703
Tb -0.018 6.812 5.110
Tb 3.391 3.403 5.110
Tb 3.403 3.415 1.703
Y -0.018 3.402 5.110
Y -0.006 3.416 1.703
Y 3.403 0.007 1.703
Y 3.391 6.811 5.110
Ir 1.693 1.705 3.407
Ir 1.705 5.114 0.000
Ir 5.114 1.705 0.000
Ir 5.102 5.114 3.407
```

Main lines, sorted by position (10° ≤ 2θ ≤ 80°):
| 2θ (°) | I (rel.) |
| --- | --- |
| 22.59 | 54 |
| 37.30 | 100 |
| 44.05 | 24 |
| 53.79 | 21 |
| 67.22 | 21 |
| 67.37 | 21 |

This entry pairs a crystal structure of Tb3YIr3 with its calculated PXRD pattern. Radiation: Cu Kα (weighted mean of Kα1 and Kα2). Structure: a DFT-relaxed cell (GGA-PBE, Alexandria).
Neutral-atom scattering factors, no anomalous dispersion.

Atomic structure:
```
7
Lattice="4.856 2.804 1.978 -4.856 2.804 1.978 0.000 -5.607 1.978" Properties=species:S:1:pos:R:3 pbc="T T T"
Tb -2.428 -1.402 1.978
Tb -2.428 1.402 3.956
Tb 0.000 2.804 1.978
Y 0.000 0.000 0.000
Ir -4.856 0.000 2.967
Ir -2.428 1.402 0.989
Ir 2.428 1.402 0.989
```

Main lines, sorted by position (10° ≤ 2θ ≤ 80°):
| 2θ (°) | I (rel.) |
| --- | --- |
| 18.27 | 18 |
| 31.95 | 9 |
| 37.05 | 100 |
| 53.40 | 18 |
| 66.75 | 27 |
| 66.88 | 9 |

This entry pairs a crystal structure of TbY2Ir2 with its calculated PXRD pattern. Radiation: Cu Kα (weighted mean of Kα1 and Kα2). Structure: a DFT-relaxed cell (GGA-PBE, Alexandria).
Neutral-atom scattering factors, no anomalous dispersion.

Atomic structure:
```
10
Lattice="3.007 -7.268 0.000 3.007 7.268 0.000 0.000 0.000 5.532" Properties=species:S:1:pos:R:3 pbc="T T T"
Tb 0.000 0.000 0.000
Tb 0.000 0.000 2.766
Y 3.007 4.098 4.149
Y 3.007 1.172 1.383
Y 3.007 -1.172 4.149
Y 3.007 -4.098 1.383
Ir 1.590 1.788 4.149
Ir 1.590 -1.788 1.383
Ir 4.424 1.788 4.149
Ir 4.424 -1.788 1.383
```

Main lines, sorted by position (10° ≤ 2θ ≤ 80°):
| 2θ (°) | I (rel.) |
| --- | --- |
| 20.17 | 63 |
| 34.26 | 28 |
| 36.18 | 100 |
| 38.87 | 53 |
| 40.66 | 34 |
| 41.01 | 40 |

This entry pairs a crystal structure of TbYIr with its calculated PXRD pattern. Radiation: Cu Kα (weighted mean of Kα1 and Kα2). Structure: a DFT-relaxed cell (GGA-PBE, Alexandria).
Neutral-atom scattering factors, no anomalous dispersion.

Atomic structure:
```
12
Lattice="11.731 0.000 0.000 0.000 3.894 0.000 -4.313 0.000 6.743" Properties=species:S:1:pos:R:3 pbc="T T T"
Tb 0.000 0.000 0.000
Tb -1.947 1.947 4.733
Tb 5.865 1.947 0.000
Tb 3.918 0.000 4.733
Y 1.009 1.947 3.091
Y 3.350 0.000 1.088
Y 6.874 0.000 3.091
Y 9.215 1.947 1.088
Ir -1.240 0.000 2.656
Ir 0.285 0.000 5.178
Ir 4.625 1.947 2.656
Ir 6.150 1.947 5.178
```

Main lines, sorted by position (10° ≤ 2θ ≤ 80°):
| 2θ (°) | I (rel.) |
| --- | --- |
| 15.50 | 69 |
| 30.22 | 51 |
| 32.49 | 100 |
| 34.63 | 48 |
| 35.70 | 66 |
| 39.97 | 61 |

This entry pairs a crystal structure of Tb2ZnIr3 with its calculated PXRD pattern. Radiation: Cu Kα (weighted mean of Kα1 and Kα2). Structure: a DFT-relaxed cell (GGA-PBE, Alexandria).
Neutral-atom scattering factors, no anomalous dispersion.

Atomic structure:
```
6
Lattice="2.766 1.597 4.108 -2.766 1.597 4.108 0.000 -3.194 4.108" Properties=species:S:1:pos:R:3 pbc="T T T"
Tb 0.000 0.000 1.559
Tb 0.000 0.000 10.765
Zn 0.000 0.000 6.162
Ir -1.383 -0.799 4.108
Ir -1.383 0.799 8.216
Ir 0.000 1.597 4.108
```

Main lines, sorted by position (10° ≤ 2θ ≤ 80°):
| 2θ (°) | I (rel.) |
| --- | --- |
| 34.61 | 48 |
| 38.27 | 100 |
| 39.26 | 87 |
| 40.40 | 67 |
| 41.19 | 35 |
| 67.75 | 33 |

This entry pairs a crystal structure of Tb2ZnIr2 with its calculated PXRD pattern. Radiation: Cu Kα (weighted mean of Kα1 and Kα2). Structure: a DFT-relaxed cell (GGA-PBE, Alexandria).
Neutral-atom scattering factors, no anomalous dispersion.

Atomic structure:
```
10
Lattice="5.015 -2.714 0.000 5.015 2.714 0.000 -2.234 0.000 7.581" Properties=species:S:1:pos:R:3 pbc="T T T"
Tb 1.653 1.890 6.467
Tb 5.026 1.890 4.905
Tb 2.770 -1.890 2.676
Tb 6.143 -1.890 1.114
Zn 4.457 0.748 1.895
Zn 3.340 -0.748 5.686
Ir 2.555 0.816 3.677
Ir 6.358 0.816 0.113
Ir 1.438 -0.816 7.468
Ir 5.241 -0.816 3.904
```

Main lines, sorted by position (10° ≤ 2θ ≤ 80°):
| 2θ (°) | I (rel.) |
| --- | --- |
| 34.00 | 37 |
| 35.12 | 36 |
| 37.39 | 42 |
| 37.97 | 56 |
| 38.26 | 100 |
| 41.57 | 56 |

This entry pairs a crystal structure of Tb5Zn4Ir with its calculated PXRD pattern. Radiation: Cu Kα (weighted mean of Kα1 and Kα2). Structure: a DFT-relaxed cell (GGA-PBE, Alexandria).
Neutral-atom scattering factors, no anomalous dispersion.

Atomic structure:
```
10
Lattice="3.563 0.000 0.000 0.000 3.563 0.000 0.000 0.000 17.759" Properties=species:S:1:pos:R:3 pbc="T T T"
Tb 0.000 0.000 0.000
Tb 0.000 0.000 3.597
Tb 0.000 0.000 7.268
Tb 0.000 0.000 10.492
Tb 0.000 0.000 14.162
Zn 1.781 1.781 1.806
Zn 1.781 1.781 5.355
Zn 1.781 1.781 12.404
Zn 1.781 1.781 15.954
Ir 1.781 1.781 8.880
```

Main lines, sorted by position (10° ≤ 2θ ≤ 80°):
| 2θ (°) | I (rel.) |
| --- | --- |
| 25.02 | 7 |
| 35.68 | 100 |
| 51.29 | 12 |
| 64.05 | 24 |
| 64.16 | 11 |
| 75.61 | 7 |

This entry pairs a crystal structure of TbZn11Ir with its calculated PXRD pattern. Radiation: Cu Kα (weighted mean of Kα1 and Kα2). Structure: a DFT-relaxed cell (GGA-PBE, Alexandria).
Neutral-atom scattering factors, no anomalous dispersion.

Atomic structure:
```
13
Lattice="2.599 -6.364 0.000 2.599 6.364 0.000 -2.456 0.000 6.226" Properties=species:S:1:pos:R:3 pbc="T T T"
Tb 0.000 0.000 0.000
Zn 1.299 3.182 0.000
Zn 0.192 4.142 4.020
Zn 0.111 1.385 4.888
Zn 2.550 4.142 2.206
Zn 2.630 1.385 1.338
Zn 1.299 -3.182 0.000
Zn 1.371 0.000 3.113
Zn 0.111 -1.385 4.888
Zn 0.192 -4.142 4.020
Zn 2.630 -1.385 1.338
Zn 2.550 -4.142 2.206
Ir -1.228 0.000 3.113
```

Main lines, sorted by position (10° ≤ 2θ ≤ 80°):
| 2θ (°) | I (rel.) |
| --- | --- |
| 35.07 | 42 |
| 39.89 | 52 |
| 40.03 | 45 |
| 40.47 | 100 |
| 40.54 | 81 |
| 45.06 | 38 |

This entry pairs a crystal structure of Tb3ZnIr8 with its calculated PXRD pattern. Radiation: Cu Kα (weighted mean of Kα1 and Kα2). Structure: a DFT-relaxed cell (GGA-PBE, Alexandria).
Neutral-atom scattering factors, no anomalous dispersion.

Atomic structure:
```
12
Lattice="2.666 1.539 8.692 -2.666 1.539 8.692 0.000 -3.078 8.692" Properties=species:S:1:pos:R:3 pbc="T T T"
Tb 0.000 0.000 0.000
Tb 0.000 0.000 3.350
Tb 0.000 0.000 16.106
Zn 0.000 0.000 12.821
Ir 0.000 -1.538 5.952
Ir -1.332 0.769 5.952
Ir -1.332 -0.769 10.330
Ir 0.000 0.000 8.150
Ir 1.332 0.769 5.952
Ir 1.332 -0.769 10.330
Ir 0.000 1.539 10.330
Ir 0.000 0.000 21.195
```

Main lines, sorted by position (10° ≤ 2θ ≤ 80°):
| 2θ (°) | I (rel.) |
| --- | --- |
| 20.41 | 20 |
| 33.64 | 18 |
| 39.67 | 100 |
| 41.51 | 53 |
| 64.22 | 30 |
| 70.72 | 29 |

This entry pairs a crystal structure of Tb2ZnIr with its calculated PXRD pattern. Radiation: Cu Kα (weighted mean of Kα1 and Kα2). Structure: a DFT-relaxed cell (GGA-PBE, Alexandria).
Neutral-atom scattering factors, no anomalous dispersion.

Atomic structure:
```
8
Lattice="5.717 0.000 0.000 0.000 4.406 0.000 -2.776 0.000 7.184" Properties=species:S:1:pos:R:3 pbc="T T T"
Tb -0.014 1.102 3.142
Tb -1.236 1.102 6.615
Tb 4.178 3.305 0.570
Tb 2.955 3.305 4.042
Zn 1.370 3.305 1.532
Zn 1.571 1.102 5.652
Ir 0.037 3.305 5.138
Ir 2.905 1.102 2.046
```

Main lines, sorted by position (10° ≤ 2θ ≤ 80°):
| 2θ (°) | I (rel.) |
| --- | --- |
| 31.83 | 100 |
| 32.15 | 95 |
| 39.50 | 56 |
| 39.74 | 71 |
| 40.52 | 66 |
| 40.97 | 65 |